Diffraction record for PaCrO4. The X-ray diffraction stick pattern is computed, not measured: it uses a GGA+U-relaxed structure and Cu Kα X-rays.

```
data_PaCrO4
_chemical_formula_sum 'Pa2 Cr2 O8'
_cell_length_a 5.2829
_cell_length_b 5.0827
_cell_length_c 5.8173
_cell_angle_alpha 90.00
_cell_angle_beta 90.00
_cell_angle_gamma 90.00
_symmetry_space_group_name_H-M 'P 1'
_symmetry_Int_Tables_number 1
loop_
_symmetry_equiv_pos_as_xyz
'x,y,z'
loop_
_atom_site_label
_atom_site_type_symbol
_atom_site_fract_x
_atom_site_fract_y
_atom_site_fract_z
_atom_site_occupancy
Pa1 Pa 0.0000 0.0000 0.0000 1
Pa2 Pa 0.0000 0.5000 0.5000 1
Cr1 Cr 0.5000 0.0000 0.3306 1
Cr2 Cr 0.5000 0.5000 0.8306 1
O1 O 0.1855 0.2050 0.2898 1
O2 O 0.1855 0.2950 0.7898 1
O3 O 0.3313 0.7366 0.5719 1
O4 O 0.3313 0.7634 0.0719 1
O5 O 0.6687 0.2366 0.0719 1
O6 O 0.6687 0.2634 0.5719 1
O7 O 0.8145 0.7050 0.7898 1
O8 O 0.8145 0.7950 0.2898 1
```

Peak list (6 most intense, 10° ≤ 2θ ≤ 90°, in order of rising 2θ)
2θ (°)	I/Imax
16.8	38
23.2	56
28.8	100
35.3	36
41.5	25
50.7	25